(1)
# Li7Ti11O24
Simulated powder diffraction line list, a wavelength of 1.5418 Å. Input: a crystal structure in Alexandria, relaxed with PBE.
Peak positions follow from Bragg's law for the DFT cell and can differ from measured ones.

Cell and atoms:
a b c (Å): 5.081 8.866 9.734
angles (deg): 90.00 90.28 90.00
Sites, in units of the cell vectors:
Li (0.000, 0.000, 0.000)
Li (0.001, 0.332, 0.996)
Li (0.001, 0.668, 0.996)
Li (0.377, 0.340, 0.503)
Li (0.377, 0.660, 0.503)
Li (0.384, 0.000, 0.500)
Li (0.919, 0.500, 0.613)
Ti (0.417, 0.000, 0.823)
Ti (0.426, 0.335, 0.818)
Ti (0.426, 0.665, 0.818)
Ti (0.456, 0.500, 0.106)
Ti (0.462, 0.169, 0.106)
Ti (0.462, 0.831, 0.106)
Ti (0.919, 0.176, 0.605)
Ti (0.919, 0.824, 0.605)
Ti (0.953, 0.337, 0.331)
Ti (0.953, 0.663, 0.331)
Ti (0.957, 0.000, 0.324)
O (0.154, 0.000, 0.675)
O (0.156, 0.168, 0.426)
O (0.156, 0.832, 0.426)
O (0.161, 0.318, 0.679)
O (0.161, 0.500, 0.413)
O (0.161, 0.682, 0.679)
O (0.226, 0.331, 0.173)
O (0.226, 0.669, 0.173)
O (0.229, 0.165, 0.928)
O (0.229, 0.500, 0.926)
O (0.229, 0.835, 0.928)
O (0.232, 0.000, 0.179)
O (0.611, 0.500, 0.743)
O (0.631, 0.000, 0.999)
O (0.633, 0.332, 0.999)
O (0.633, 0.668, 0.999)
O (0.644, 0.165, 0.742)
O (0.644, 0.835, 0.742)
O (0.744, 0.500, 0.239)
O (0.745, 0.322, 0.495)
O (0.745, 0.678, 0.495)
O (0.747, 0.164, 0.239)
O (0.747, 0.836, 0.239)
O (0.757, 0.000, 0.500)

Largest 6 diffraction maxima, by angle, 10 to 90 degrees two-theta:
2θ = 19.71°, I 100; 2θ = 32.68°, I 21; 2θ = 32.82°, I 20; 2θ = 36.36°, I 32; 2θ = 39.85°, I 24; 2θ = 50.92°, I 19

---

(2)
# Li6Ti2O7
Simulated powder diffraction line list, a wavelength of 1.5418 Å. Input: a crystal structure in Alexandria, relaxed with PBE.
Peak positions follow from Bragg's law for the DFT cell and can differ from measured ones.

Cell and atoms:
a b c (Å): 5.813 5.813 9.794
angles (deg): 99.95 99.95 59.90
Sites, in units of the cell vectors:
Li (0.078, 0.329, 0.885)
Li (0.078, 0.793, 0.902)
Li (0.207, 0.922, 0.598)
Li (0.328, 0.529, 0.389)
Li (0.329, 0.078, 0.385)
Li (0.471, 0.672, 0.111)
Li (0.529, 0.328, 0.889)
Li (0.671, 0.922, 0.615)
Li (0.672, 0.471, 0.611)
Li (0.793, 0.078, 0.402)
Li (0.922, 0.207, 0.098)
Li (0.922, 0.671, 0.115)
Ti (0.206, 0.426, 0.630)
Ti (0.426, 0.206, 0.130)
Ti (0.574, 0.794, 0.870)
Ti (0.794, 0.574, 0.370)
O (0.001, 0.272, 0.501)
O (0.141, 0.356, 0.248)
O (0.260, 0.495, 0.026)
O (0.272, 0.001, 0.001)
O (0.349, 0.651, 0.750)
O (0.356, 0.141, 0.748)
O (0.495, 0.260, 0.526)
O (0.505, 0.740, 0.474)
O (0.644, 0.859, 0.252)
O (0.651, 0.349, 0.250)
O (0.728, 0.999, 0.999)
O (0.740, 0.505, 0.974)
O (0.859, 0.644, 0.752)
O (0.999, 0.728, 0.499)

Largest 6 diffraction maxima, by angle, 10 to 90 degrees two-theta:
2θ = 17.97°, I 71; 2θ = 19.16°, I 78; 2θ = 24.37°, I 58; 2θ = 43.62°, I 100; 2θ = 44.51°, I 48; 2θ = 64.08°, I 48

---

(3)
# Li4Ti11O24
Simulated powder diffraction line list, a wavelength of 1.5418 Å. Input: a crystal structure in Alexandria, relaxed with PBE.
Peak positions follow from Bragg's law for the DFT cell and can differ from measured ones.

Cell and atoms:
a b c (Å): 10.292 10.292 8.500
angles (deg): 114.12 114.12 33.85
Sites, in units of the cell vectors:
Li (0.000, 0.000, 0.000)
Li (0.175, 0.175, 0.413)
Li (0.506, 0.506, 0.739)
Li (0.592, 0.592, 0.223)
Ti (0.077, 0.588, 0.702)
Ti (0.093, 0.093, 0.694)
Ti (0.258, 0.258, 0.902)
Ti (0.266, 0.739, 0.364)
Ti (0.419, 0.911, 0.040)
Ti (0.427, 0.427, 0.030)
Ti (0.588, 0.077, 0.702)
Ti (0.739, 0.266, 0.364)
Ti (0.753, 0.753, 0.355)
Ti (0.911, 0.419, 0.040)
Ti (0.922, 0.922, 0.538)
O (0.057, 0.624, 0.481)
O (0.081, 0.081, 0.462)
O (0.095, 0.095, 0.960)
O (0.123, 0.553, 0.936)
O (0.226, 0.788, 0.616)
O (0.244, 0.244, 0.101)
O (0.264, 0.264, 0.641)
O (0.264, 0.732, 0.137)
O (0.386, 0.958, 0.811)
O (0.415, 0.415, 0.795)
O (0.429, 0.429, 0.282)
O (0.447, 0.911, 0.278)
O (0.553, 0.123, 0.936)
O (0.571, 0.571, 0.443)
O (0.598, 0.598, 0.967)
O (0.624, 0.057, 0.481)
O (0.732, 0.264, 0.137)
O (0.743, 0.743, 0.126)
O (0.764, 0.764, 0.620)
O (0.788, 0.226, 0.616)
O (0.911, 0.447, 0.278)
O (0.911, 0.911, 0.774)
O (0.931, 0.931, 0.326)
O (0.958, 0.386, 0.811)

Largest 6 diffraction maxima, by angle, 10 to 90 degrees two-theta:
2θ = 18.14°, I 100; 2θ = 18.27°, I 62; 2θ = 35.17°, I 28; 2θ = 42.55°, I 29; 2θ = 42.90°, I 59; 2θ = 61.91°, I 24

---

(4)
# Li2Ti4O9
Simulated powder diffraction line list, a wavelength of 1.5418 Å. Input: a crystal structure in Alexandria, relaxed with PBE.
Peak positions follow from Bragg's law for the DFT cell and can differ from measured ones.

Cell and atoms:
a b c (Å): 5.072 5.072 13.978
angles (deg): 90.00 90.00 120.00
Sites, in units of the cell vectors:
Li (0.000, 0.000, 0.144)
Li (0.000, 0.000, 0.356)
Li (0.000, 0.000, 0.644)
Li (0.000, 0.000, 0.856)
Ti (0.333, 0.667, 0.025)
Ti (0.333, 0.667, 0.312)
Ti (0.333, 0.667, 0.525)
Ti (0.333, 0.667, 0.812)
Ti (0.667, 0.333, 0.188)
Ti (0.667, 0.333, 0.475)
Ti (0.667, 0.333, 0.688)
Ti (0.667, 0.333, 0.975)
O (0.000, 0.342, 0.250)
O (0.000, 0.658, 0.750)
O (0.024, 0.385, 0.918)
O (0.024, 0.639, 0.418)
O (0.342, 0.000, 0.250)
O (0.342, 0.342, 0.750)
O (0.361, 0.385, 0.418)
O (0.361, 0.976, 0.918)
O (0.385, 0.024, 0.582)
O (0.385, 0.361, 0.082)
O (0.615, 0.639, 0.918)
O (0.615, 0.976, 0.418)
O (0.639, 0.024, 0.082)
O (0.639, 0.615, 0.582)
O (0.658, 0.000, 0.750)
O (0.658, 0.658, 0.250)
O (0.976, 0.361, 0.582)
O (0.976, 0.615, 0.082)

Largest 6 diffraction maxima, by angle, 10 to 90 degrees two-theta:
2θ = 20.21°, I 100; 2θ = 32.75°, I 94; 2θ = 35.39°, I 37; 2θ = 40.50°, I 42; 2θ = 48.98°, I 37; 2θ = 53.40°, I 45

---

(5)
# Li5Ti12O24
Simulated powder diffraction line list, a wavelength of 1.5418 Å. Input: a crystal structure in Alexandria, relaxed with PBE.
Peak positions follow from Bragg's law for the DFT cell and can differ from measured ones.

Cell and atoms:
a b c (Å): 5.092 8.894 9.714
angles (deg): 90.00 90.16 90.00
Sites, in units of the cell vectors:
Li (0.000, 0.000, 0.000)
Li (0.007, 0.333, 0.001)
Li (0.007, 0.667, 0.001)
Li (0.368, 0.000, 0.506)
Li (0.516, 0.500, 0.434)
Ti (0.414, 0.000, 0.824)
Ti (0.429, 0.339, 0.825)
Ti (0.429, 0.661, 0.825)
Ti (0.460, 0.162, 0.109)
Ti (0.460, 0.838, 0.109)
Ti (0.475, 0.500, 0.111)
Ti (0.908, 0.174, 0.608)
Ti (0.908, 0.826, 0.608)
Ti (0.936, 0.000, 0.327)
Ti (0.944, 0.500, 0.612)
Ti (0.976, 0.325, 0.332)
Ti (0.976, 0.675, 0.332)
O (0.137, 0.327, 0.693)
O (0.137, 0.673, 0.693)
O (0.139, 0.162, 0.431)
O (0.139, 0.838, 0.431)
O (0.141, 0.000, 0.682)
O (0.148, 0.500, 0.430)
O (0.220, 0.000, 0.182)
O (0.232, 0.500, 0.932)
O (0.233, 0.165, 0.934)
O (0.233, 0.835, 0.934)
O (0.234, 0.337, 0.181)
O (0.234, 0.663, 0.181)
O (0.631, 0.162, 0.744)
O (0.631, 0.838, 0.744)
O (0.636, 0.000, 0.001)
O (0.636, 0.335, 0.002)
O (0.636, 0.665, 0.002)
O (0.644, 0.500, 0.742)
O (0.736, 0.500, 0.254)
O (0.737, 0.000, 0.503)
O (0.745, 0.175, 0.243)
O (0.745, 0.825, 0.243)
O (0.749, 0.338, 0.503)
O (0.749, 0.662, 0.503)

Largest 6 diffraction maxima, by angle, 10 to 90 degrees two-theta:
2θ = 19.68°, I 100; 2θ = 32.77°, I 39; 2θ = 35.47°, I 19; 2θ = 36.26°, I 31; 2θ = 39.78°, I 21; 2θ = 50.87°, I 33

---

(6)
# Li3Ti4O8
Simulated powder diffraction line list, a wavelength of 1.5418 Å. Input: a crystal structure in Alexandria, relaxed with PBE.
Peak positions follow from Bragg's law for the DFT cell and can differ from measured ones.

Cell and atoms:
a b c (Å): 5.131 2.930 9.845
angles (deg): 90.00 91.69 90.00
Sites, in units of the cell vectors:
Li (0.000, 0.000, 0.000)
Li (0.160, 0.500, 0.807)
Li (0.646, 0.000, 0.463)
Ti (0.022, 0.000, 0.269)
Ti (0.135, 0.500, 0.534)
Ti (0.507, 0.500, 0.047)
Ti (0.644, 0.000, 0.767)
O (0.192, 0.500, 0.153)
O (0.288, 0.000, 0.421)
O (0.352, 0.000, 0.915)
O (0.439, 0.500, 0.667)
O (0.717, 0.000, 0.134)
O (0.809, 0.500, 0.889)
O (0.852, 0.500, 0.385)
O (0.941, 0.000, 0.640)

Largest 6 diffraction maxima, by angle, 10 to 90 degrees two-theta:
2θ = 19.28°, I 100; 2θ = 19.75°, I 98; 2θ = 31.95°, I 38; 2θ = 32.84°, I 41; 2θ = 35.67°, I 66; 2θ = 45.47°, I 51